No. 1
This entry pairs a crystal structure of K3PuPa3Se8 with its calculated powder XRD pattern. Radiation: Cu Kα. Structure: a PBE-relaxed structure.

Main lines, in order of falling intensity (2θ from 5° to 70°):
2θ = 28.90°, I 100.0
2θ = 11.28°, I 96.7
2θ = 39.43°, I 37.3
2θ = 43.17°, I 35.2
2θ = 24.82°, I 28.4
2θ = 36.43°, I 27.8
2θ = 44.76°, I 21.6
2θ = 52.78°, I 18.5
2θ = 49.45°, I 15.3
2θ = 65.14°, I 13.2

Cell and atoms:
abc: 9.2175 9.2175 9.2175
angles: 54.10 54.10 54.10
Fractional coordinates of all 15 atoms:
K  0.0000  0.5000  0.5000
K  0.5000  0.0000  0.5000
K  0.5000  0.5000  0.0000
Pu  0.5000  0.5000  0.5000
Pa  0.0000  0.0000  0.5000
Pa  0.0000  0.5000  0.0000
Pa  0.5000  0.0000  0.0000
Se  0.2276  0.7391  0.7391
Se  0.2364  0.2364  0.2364
Se  0.2609  0.2609  0.7724
Se  0.2609  0.7724  0.2609
Se  0.7391  0.2276  0.7391
Se  0.7391  0.7391  0.2276
Se  0.7636  0.7636  0.7636
Se  0.7724  0.2609  0.2609

No. 2
This entry pairs a crystal structure of K2RbPa3Te8 with its calculated powder XRD pattern. Radiation: Cu Kα. Structure: a PBE-relaxed structure.

Main lines, in order of falling intensity (2θ from 5° to 70°):
2θ = 10.09°, I 100.0
2θ = 26.25°, I 93.2
2θ = 32.84°, I 59.0
2θ = 39.37°, I 50.3
2θ = 35.47°, I 45.1
2θ = 67.26°, I 30.4
2θ = 52.17°, I 23.9
2θ = 44.23°, I 23.6
2θ = 40.74°, I 22.5
2θ = 22.68°, I 22.2

Cell and atoms:
abc: 10.2392 10.2392 10.2392
angles: 53.11 53.11 53.11
Fractional coordinates of all 14 atoms:
K  0.0000  0.0000  0.0000
K  0.3649  0.3649  0.3649
Rb  0.7275  0.7275  0.7275
Pa  0.3644  0.3644  0.8664
Pa  0.3644  0.8664  0.3644
Pa  0.8664  0.3644  0.3644
Te  0.1084  0.1084  0.5690
Te  0.1084  0.5690  0.1084
Te  0.1334  0.1334  0.1334
Te  0.1654  0.6206  0.6206
Te  0.5690  0.1084  0.1084
Te  0.5943  0.5943  0.5943
Te  0.6206  0.1654  0.6206
Te  0.6206  0.6206  0.1654

No. 3
This entry pairs a crystal structure of KPaRh4S8 with its calculated powder XRD pattern. Radiation: Cu Kα. Structure: a PBE-relaxed structure.

Main lines, in order of falling intensity (2θ from 5° to 70°):
2θ = 28.07°, I 100.0
2θ = 14.51°, I 83.9
2θ = 34.05°, I 63.7
2θ = 48.62°, I 49.4
2θ = 28.31°, I 45.6
2θ = 49.22°, I 39.2
2θ = 44.69°, I 33.4
2θ = 23.76°, I 31.1
2θ = 44.53°, I 30.1
2θ = 29.26°, I 20.4

Cell and atoms:
abc: 7.4064 7.4064 7.4064
angles: 60.75 60.75 60.75
Fractional coordinates of all 14 atoms:
K  0.0000  0.0000  0.0000
Pa  0.6136  0.6136  0.6136
Rh  0.1245  0.6272  0.6272
Rh  0.2497  0.2497  0.2497
Rh  0.6272  0.1245  0.6272
Rh  0.6272  0.6272  0.1245
S  0.3614  0.3614  0.8603
S  0.3614  0.8603  0.3614
S  0.3901  0.3901  0.3901
S  0.4435  0.8634  0.8634
S  0.8499  0.8499  0.8499
S  0.8603  0.3614  0.3614
S  0.8634  0.4435  0.8634
S  0.8634  0.8634  0.4435

No. 4
This entry pairs a crystal structure of K3Pa4S12 with its calculated powder XRD pattern. Radiation: Cu Kα. Structure: a PBE-relaxed structure.

Main lines, in order of falling intensity (2θ from 5° to 70°):
2θ = 16.91°, I 100.0
2θ = 24.00°, I 83.5
2θ = 38.39°, I 52.9
2θ = 34.20°, I 43.3
2θ = 42.22°, I 40.4
2θ = 49.15°, I 29.8
2θ = 52.35°, I 27.5
2θ = 66.75°, I 21.3
2θ = 55.41°, I 18.1
2θ = 64.03°, I 11.8

Cell and atoms:
abc: 9.0817 9.0817 9.0817
angles: 109.47 109.47 109.47
Fractional coordinates of all 19 atoms:
K  0.0000  0.5000  0.5000
K  0.5000  0.0000  0.5000
K  0.5000  0.5000  0.0000
Pa  0.0000  0.0000  0.5000
Pa  0.0000  0.5000  0.0000
Pa  0.5000  0.0000  0.0000
Pa  0.5000  0.5000  0.5000
S  0.0234  0.2644  0.7589
S  0.2411  0.5055  0.2644
S  0.2411  0.9766  0.7356
S  0.2644  0.2411  0.5055
S  0.2644  0.7589  0.0234
S  0.4945  0.7356  0.7589
S  0.5055  0.2644  0.2411
S  0.7356  0.2411  0.9766
S  0.7356  0.7589  0.4945
S  0.7589  0.0234  0.2644
S  0.7589  0.4945  0.7356
S  0.9766  0.7356  0.2411

No. 5
This entry pairs a crystal structure of K2Pa3S9 with its calculated powder XRD pattern. Radiation: Cu Kα. Structure: a PBE-relaxed structure.

Main lines, in order of falling intensity (2θ from 5° to 70°):
2θ = 12.85°, I 100.0
2θ = 21.60°, I 59.2
2θ = 17.28°, I 48.4
2θ = 29.46°, I 48.1
2θ = 22.96°, I 42.6
2θ = 34.33°, I 30.5
2θ = 28.88°, I 25.5
2θ = 43.47°, I 21.1
2θ = 34.98°, I 19.4
2θ = 46.33°, I 17.9

Cell and atoms:
abc: 9.1577 9.1840 11.0195
angles: 104.05 103.80 97.37
Fractional coordinates of all 28 atoms:
K  0.0298  0.0109  0.2495
K  0.3439  0.3631  0.7489
K  0.6561  0.6369  0.2511
K  0.9702  0.9891  0.7505
Pa  0.0000  0.5000  0.0000
Pa  0.1645  0.6648  0.4930
Pa  0.3340  0.8319  0.9966
Pa  0.5000  0.0000  0.5000
Pa  0.6660  0.1681  0.0034
Pa  0.8355  0.3352  0.5070
S  0.0288  0.6380  0.2467
S  0.0347  0.7740  0.9597
S  0.1064  0.3659  0.4613
S  0.2240  0.9680  0.5398
S  0.2885  0.7129  0.7447
S  0.3012  0.5598  0.0369
S  0.3643  0.1064  0.9589
S  0.3807  0.9525  0.2484
S  0.4418  0.7025  0.4612
S  0.5582  0.2975  0.5388
S  0.6193  0.0475  0.7516
S  0.6357  0.8936  0.0411
S  0.6988  0.4402  0.9631
S  0.7115  0.2871  0.2553
S  0.7760  0.0320  0.4602
S  0.8936  0.6341  0.5387
S  0.9653  0.2260  0.0403
S  0.9712  0.3620  0.7533

No. 6
This entry pairs a crystal structure of KPa3S7 with its calculated powder XRD pattern. Radiation: Cu Kα. Structure: a PBE-relaxed structure.

Main lines, in order of falling intensity (2θ from 5° to 70°):
2θ = 22.78°, I 100.0
2θ = 27.97°, I 89.9
2θ = 21.44°, I 58.3
2θ = 34.71°, I 54.9
2θ = 14.06°, I 53.3
2θ = 43.43°, I 28.3
2θ = 45.02°, I 25.3
2θ = 34.31°, I 25.0
2θ = 27.06°, I 23.0
2θ = 37.12°, I 20.9

Cell and atoms:
abc: 6.5654 6.5654 7.0460
angles: 103.80 103.80 95.10
Fractional coordinates of all 11 atoms:
K  0.0000  0.0000  0.0000
Pa  0.2728  0.7272  0.5000
Pa  0.5000  0.5000  0.0000
Pa  0.7272  0.2728  0.5000
S  0.0000  0.0000  0.5000
S  0.1263  0.5271  0.7517
S  0.3577  0.3577  0.2712
S  0.4729  0.8737  0.2483
S  0.5271  0.1263  0.7517
S  0.6423  0.6423  0.7288
S  0.8737  0.4729  0.2483